(1)
This entry pairs a crystal structure of Ce2CoAu with its simulated X-ray powder pattern. Radiation: λ = 1.5418 Å (Cu Kα). Structure: the PBE geometry in Alexandria.
Peak positions follow from Bragg's law for the DFT cell and can differ from measured ones.

Structure:
Cell: 3.5548 3.5548 6.7885 Å, 90.00 90.00 90.00°
Fractional coordinates of all 4 atoms:
Ce 0.0000 0.0000 0.2083
Ce 0.0000 0.0000 0.7917
Co 0.5000 0.5000 0.0000
Au 0.5000 0.5000 0.5000

Peak list (10 most intense, 10° ≤ 2θ ≤ 80°, in order of rising 2θ)
2θ/deg	I_rel
28.34	33.2
35.72	61.7
36.61	100.0
39.84	8.8
51.41	21.8
54.57	14.3
59.74	8.7
64.75	37.5
66.47	11.0
74.86	8.4

---

(2)
This entry pairs a crystal structure of Ce7Co2Au2 with its simulated X-ray powder pattern. Radiation: λ = 1.5418 Å (Cu Kα). Structure: the PBE geometry in Alexandria.
Peak positions follow from Bragg's law for the DFT cell and can differ from measured ones.

Structure:
Cell: 9.2617 9.2617 9.2617 Å, 157.53 67.45 117.35°
Fractional coordinates of all 11 atoms:
Ce 0.0000 0.0000 0.0000
Ce 0.2944 0.4271 0.8672
Ce 0.3128 0.6296 0.6832
Ce 0.5599 0.4271 0.1328
Ce 0.6109 0.2647 0.3462
Ce 0.9186 0.2647 0.6538
Ce 0.9463 0.6296 0.3168
Co 0.1758 0.9447 0.2311
Co 0.7135 0.9447 0.7689
Au 0.2701 0.7701 0.5000
Au 0.6741 0.6741 0.0000

Peak list (10 most intense, 10° ≤ 2θ ≤ 80°, in order of rising 2θ)
2θ/deg	I_rel
28.85	25.1
31.52	47.4
32.90	90.7
34.94	35.0
35.33	100.0
35.67	60.6
39.34	26.2
50.59	38.7
52.23	23.3
61.67	35.2

---

(3)
This entry pairs a crystal structure of CsCe2AuS5 with its simulated X-ray powder pattern. Radiation: λ = 1.5418 Å (Cu Kα). Structure: the PBE geometry in Alexandria.
Peak positions follow from Bragg's law for the DFT cell and can differ from measured ones.

Structure:
Cell: 9.1875 9.1875 9.1875 Å, 129.46 129.46 74.27°
Fractional coordinates of all 18 atoms:
Cs 0.2500 0.2500 0.0000
Cs 0.7500 0.7500 0.0000
Ce 0.1661 0.6661 0.8322
Ce 0.3339 0.1661 0.5000
Ce 0.6661 0.8339 0.5000
Ce 0.8339 0.3339 0.1678
Au 0.2500 0.7500 0.5000
Au 0.7500 0.2500 0.5000
S 0.0000 0.0000 0.0000
S 0.0254 0.2439 0.5000
S 0.2439 0.7439 0.2185
S 0.2561 0.4746 0.5000
S 0.4746 0.9746 0.2185
S 0.5000 0.5000 0.0000
S 0.5254 0.0254 0.7815
S 0.7439 0.5254 0.5000
S 0.7561 0.2561 0.7815
S 0.9746 0.7561 0.5000

Peak list (10 most intense, 10° ≤ 2θ ≤ 80°, in order of rising 2θ)
2θ/deg	I_rel
15.98	20.0
24.30	39.2
25.77	100.0
31.40	46.0
32.28	28.2
38.31	23.7
40.10	28.9
40.81	28.2
43.67	23.5
48.03	20.3

---

(4)
This entry pairs a crystal structure of CsCe2Au2Se6 with its simulated X-ray powder pattern. Radiation: λ = 1.5418 Å (Cu Kα). Structure: the PBE geometry in Alexandria.
Peak positions follow from Bragg's law for the DFT cell and can differ from measured ones.

Structure:
Cell: 7.6177 7.8292 8.0891 Å, 117.60 91.39 115.96°
Fractional coordinates of all 11 atoms:
Cs 0.0000 0.0000 0.0000
Ce 0.0048 0.3493 0.6730
Ce 0.9952 0.6507 0.3270
Au 0.4412 0.9411 0.6900
Au 0.5588 0.0589 0.3100
Se 0.2127 0.0987 0.6350
Se 0.2439 0.7099 0.0674
Se 0.2483 0.5294 0.4627
Se 0.7517 0.4706 0.5373
Se 0.7561 0.2901 0.9326
Se 0.7873 0.9013 0.3650

Peak list (10 most intense, 10° ≤ 2θ ≤ 80°, in order of rising 2θ)
2θ/deg	I_rel
12.88	26.9
14.10	75.8
23.39	21.5
25.61	24.6
25.99	100.0
26.86	25.7
27.71	24.5
33.09	53.7
39.22	22.2
45.56	26.9

---

(5)
This entry pairs a crystal structure of CsCeAuSe2 with its simulated X-ray powder pattern. Radiation: λ = 1.5418 Å (Cu Kα). Structure: the PBE geometry in Alexandria.
Peak positions follow from Bragg's law for the DFT cell and can differ from measured ones.

Structure:
Cell: 4.0424 5.0625 8.1512 Å, 90.00 90.06 90.00°
Fractional coordinates of all 5 atoms:
Cs 0.0000 0.0000 0.0000
Ce 0.0000 0.5000 0.5000
Au 0.5000 0.0000 0.5000
Se 0.4994 0.5000 0.2530
Se 0.5006 0.5000 0.7470

Peak list (10 most intense, 10° ≤ 2θ ≤ 80°, in order of rising 2θ)
2θ/deg	I_rel
10.85	52.6
21.81	24.5
28.11	34.3
30.35	100.0
35.46	30.1
35.97	40.0
43.96	38.2
44.46	15.9
44.84	15.6
76.28	17.6

---

(6)
This entry pairs a crystal structure of CsCe4Au3Se12 with its simulated X-ray powder pattern. Radiation: λ = 1.5418 Å (Cu Kα). Structure: the PBE geometry in Alexandria.
Peak positions follow from Bragg's law for the DFT cell and can differ from measured ones.

Structure:
Cell: 9.1384 9.1384 9.1384 Å, 109.47 109.47 109.47°
Fractional coordinates of all 20 atoms:
Cs 0.0000 0.0000 0.0000
Ce 0.0000 0.0000 0.5000
Ce 0.0000 0.5000 0.0000
Ce 0.5000 0.0000 0.0000
Ce 0.5000 0.5000 0.5000
Au 0.0000 0.5000 0.5000
Au 0.5000 0.0000 0.5000
Au 0.5000 0.5000 0.0000
Se 0.1575 0.3225 0.8350
Se 0.1650 0.4875 0.3225
Se 0.1650 0.8425 0.6775
Se 0.3225 0.1650 0.4875
Se 0.3225 0.8350 0.1575
Se 0.4875 0.3225 0.1650
Se 0.5125 0.6775 0.8350
Se 0.6775 0.1650 0.8425
Se 0.6775 0.8350 0.5125
Se 0.8350 0.1575 0.3225
Se 0.8350 0.5125 0.6775
Se 0.8425 0.6775 0.1650

Peak list (10 most intense, 10° ≤ 2θ ≤ 80°, in order of rising 2θ)
2θ/deg	I_rel
23.85	99.5
26.72	32.0
31.73	14.7
33.98	35.3
41.94	100.0
48.82	16.3
50.43	13.4
55.04	30.5
66.28	26.1
76.62	36.4

---

(7)
This entry pairs a crystal structure of Ce4CuAu3 with its simulated X-ray powder pattern. Radiation: λ = 1.5418 Å (Cu Kα). Structure: the PBE geometry in Alexandria.
Peak positions follow from Bragg's law for the DFT cell and can differ from measured ones.

Structure:
Cell: 3.8449 4.6552 11.3713 Å, 90.00 90.00 90.00°
Fractional coordinates of all 8 atoms:
Ce 0.0000 0.0000 0.0000
Ce 0.0000 0.5000 0.2759
Ce 0.5000 0.0000 0.4887
Ce 0.5000 0.5000 0.7779
Cu 0.5000 0.0000 0.2129
Au 0.0000 0.0000 0.7210
Au 0.0000 0.5000 0.5514
Au 0.5000 0.5000 0.0609

Peak list (10 most intense, 10° ≤ 2θ ≤ 80°, in order of rising 2θ)
2θ/deg	I_rel
31.18	100.0
31.47	27.7
33.19	21.0
37.05	35.6
38.55	81.7
38.68	35.8
47.28	20.2
62.00	19.8
62.68	17.4
75.54	17.7

---

(8)
This entry pairs a crystal structure of Ce5Cu2Au5 with its simulated X-ray powder pattern. Radiation: λ = 1.5418 Å (Cu Kα). Structure: the PBE geometry in Alexandria.
Peak positions follow from Bragg's law for the DFT cell and can differ from measured ones.

Structure:
Cell: 8.2344 8.2344 10.9752 Å, 129.74 129.74 30.66°
Fractional coordinates of all 12 atoms:
Ce 0.0000 0.0000 0.0000
Ce 0.1012 0.1012 0.4079
Ce 0.1916 0.1916 0.8100
Ce 0.8084 0.8084 0.1900
Ce 0.8988 0.8988 0.5921
Cu 0.3582 0.3582 0.7422
Cu 0.6418 0.6418 0.2578
Au 0.2588 0.2588 0.3317
Au 0.4296 0.4296 0.1407
Au 0.5000 0.5000 0.5000
Au 0.5704 0.5704 0.8593
Au 0.7412 0.7412 0.6683

Peak list (10 most intense, 10° ≤ 2θ ≤ 80°, in order of rising 2θ)
2θ/deg	I_rel
27.38	22.2
31.97	79.8
33.75	45.9
35.04	52.6
36.60	37.3
37.80	100.0
41.48	47.6
54.50	23.5
56.50	21.4
68.43	30.3